This entry pairs a crystal structure of BaPaGa2O6 with its computed PXRD pattern. Radiation: Cu Kα X-rays. Structure: a cell relaxed with GGA-PBE.

Top 10 peaks for 2θ = 10–80°, by angle:
2θ/deg  intensity
14.73  19
20.21  35
26.54  100
30.79  60
41.09  27
43.31  23
44.00  17
52.21  30
54.72  28
64.09  20

Structure:
abc: 6.885 6.885 6.885
angles: 49.90 49.90 49.90
Atoms (fractional coordinates):
Ba  0.000  0.000  0.000
Pa  0.500  0.500  0.500
Ga  0.225  0.225  0.225
Ga  0.775  0.775  0.775
O  0.093  0.472  0.723
O  0.277  0.907  0.528
O  0.472  0.723  0.093
O  0.528  0.277  0.907
O  0.723  0.093  0.472
O  0.907  0.528  0.277


This entry pairs a crystal structure of P2C3 with its computed PXRD pattern. Radiation: Cu Kα X-rays. Structure: a cell relaxed with GGA-PBE.

Top 10 peaks for 2θ = 10–80°, by angle:
2θ/deg  intensity
23.39  81
29.44  100
33.57  76
33.97  71
34.23  94
36.07  74
47.84  37
49.27  33
58.93  28
59.89  43

Structure:
abc: 3.758 3.986 4.092
angles: 78.02 71.33 85.80
Atoms (fractional coordinates):
P  0.000  0.000  0.000
P  0.466  0.306  0.035
C  0.304  0.530  0.397
C  0.569  0.543  0.583
C  0.929  0.677  0.404


This entry pairs a crystal structure of K2SeF6 with its computed PXRD pattern. Radiation: Cu Kα X-rays. Structure: a cell relaxed with GGA-PBE.

Top 10 peaks for 2θ = 10–80°, by angle:
2θ/deg  intensity
17.31  50
18.61  21
25.53  100
30.22  46
39.96  97
41.80  26
50.91  26
52.44  34
61.73  20
62.85  23

Structure:
abc: 5.915 5.915 4.767
angles: 90.00 90.00 120.00
Atoms (fractional coordinates):
K  0.333  0.667  0.208
K  0.667  0.333  0.792
Se  0.000  0.000  0.500
F  0.161  0.322  0.725
F  0.161  0.839  0.725
F  0.322  0.161  0.275
F  0.678  0.839  0.725
F  0.839  0.161  0.275
F  0.839  0.678  0.275


This entry pairs a crystal structure of Cs2TlTcI6 with its computed PXRD pattern. Radiation: Cu Kα X-rays. Structure: a cell relaxed with GGA-PBE.

Top 10 peaks for 2θ = 10–80°, by angle:
2θ/deg  intensity
14.50  30
20.56  32
25.26  56
29.24  100
31.93  15
41.83  70
49.49  20
51.85  23
68.73  26
76.39  18

Structure:
abc: 8.638 8.638 8.638
angles: 60.00 60.00 60.00
Atoms (fractional coordinates):
Cs  0.250  0.250  0.250
Cs  0.750  0.750  0.750
Tl  0.000  0.000  0.000
Tc  0.500  0.500  0.500
I  0.274  0.274  0.726
I  0.274  0.726  0.274
I  0.274  0.726  0.726
I  0.726  0.274  0.274
I  0.726  0.274  0.726
I  0.726  0.726  0.274


This entry pairs a crystal structure of K3NiCl7 with its computed PXRD pattern. Radiation: Cu Kα X-rays. Structure: a cell relaxed with GGA-PBE.

Top 10 peaks for 2θ = 10–80°, by angle:
2θ/deg  intensity
13.18  71
18.68  34
22.93  18
26.54  47
29.75  42
34.03  100
37.89  26
46.86  17
50.87  25
54.66  20

Structure:
abc: 9.497 9.497 6.718
angles: 90.00 90.00 90.00
Atoms (fractional coordinates):
K  0.000  0.000  0.000
K  0.174  0.326  0.500
K  0.326  0.826  0.500
K  0.500  0.500  0.000
K  0.674  0.174  0.500
K  0.826  0.674  0.500
Ni  0.000  0.500  0.000
Ni  0.500  0.000  0.000
Cl  0.000  0.000  0.500
Cl  0.116  0.616  0.239
Cl  0.116  0.616  0.761
Cl  0.168  0.332  0.000
Cl  0.332  0.832  0.000
Cl  0.384  0.116  0.239
Cl  0.384  0.116  0.761
Cl  0.500  0.500  0.500
Cl  0.616  0.884  0.239
Cl  0.616  0.884  0.761
Cl  0.668  0.168  0.000
Cl  0.832  0.668  0.000
Cl  0.884  0.384  0.239
Cl  0.884  0.384  0.761